Record 1
Theoretical powder X-ray diffraction pattern of V2Ge6Mo for Cu Kα, 1.54184 Å, from DFT lattice parameters and positions (GGA-PBE).

Principal peaks in the range 10° ≤ 2θ ≤ 90°, in order of falling intensity:
2theta, d (Å), intensity, hkl
39.62, 2.275, 100, 2 0 1
46.39, 1.957, 63, 2 0 2
40.68, 2.218, 34, 0 0 3
68.44, 1.371, 19, 2 0 4
68.62, 1.368, 19, 0 6 1
73.50, 1.288, 16, 0 6 2
37.14, 2.420, 16, 1 3 0
79.14, 1.210, 14, 4 0 0
82.77, 1.166, 11, 1 3 5
56.26, 1.635, 9, 1 3 3

a = 4.8412 Å, b = 8.3847 Å, c = 6.6533 Å
α = 90.00°, β = 90.00°, γ = 90.00°
Space group C222 (No. 21)
Symmetry-distinct sites (fractional):
V (0.2500, 0.2500, 0.1665) (multiplicity 4)
Ge (0.0000, 0.3325, 0.5000) (multiplicity 4)
Ge (0.2470, 0.4159, 0.8363) (multiplicity 8)
Mo (0.0000, 0.0000, 0.5000) (multiplicity 2)

***

Record 2
Theoretical powder X-ray diffraction pattern of Ge4Mo9W3 for Cu Kα, 1.54184 Å, from DFT lattice parameters and positions (GGA-PBE).

Principal peaks in the range 10° ≤ 2θ ≤ 90°, in order of falling intensity:
2theta, d (Å), intensity, hkl
40.57, 2.223, 100, 2 1 0
40.36, 2.235, 76, 0 1 4
44.64, 2.030, 66, 2 1 -2
44.46, 2.038, 44, 1 1 -4
36.19, 2.482, 39, 0 2 0
40.66, 2.219, 35, 1 2 0
64.88, 1.437, 24, 2 2 4
70.92, 1.329, 18, 1 3 -4
70.62, 1.334, 16, 2 1 6
68.00, 1.379, 16, 0 3 4

a = 4.9721 Å, b = 4.9592 Å, c = 10.0093 Å
α = 90.00°, β = 90.00°, γ = 90.00°
Space group Pm (No. 6)
Symmetry-distinct sites (fractional):
Ge (0.0000, 0.0000, 0.0000) (multiplicity 1)
Ge (0.0003, 0.0000, 0.4990) (multiplicity 1)
Ge (0.5019, 0.5000, 0.2461) (multiplicity 1)
Ge (0.5048, 0.5000, 0.7460) (multiplicity 1)
Mo (0.0015, 0.5000, 0.1228) (multiplicity 1)
Mo (0.0034, 0.5000, 0.6226) (multiplicity 1)
Mo (0.2516, 0.0000, 0.2488) (multiplicity 1)
Mo (0.5008, 0.2503, 0.4971) (multiplicity 2)
Mo (0.5007, 0.2503, 0.9964) (multiplicity 2)
Mo (0.7518, 0.0000, 0.2488) (multiplicity 1)
Mo (0.7522, 0.0000, 0.7487) (multiplicity 1)
W (0.0016, 0.5000, 0.3727) (multiplicity 1)
W (0.0039, 0.5000, 0.8728) (multiplicity 1)
W (0.2512, 0.0000, 0.7489) (multiplicity 1)

***

Record 3
Theoretical powder X-ray diffraction pattern of Zr2Ge6Mo for Cu Kα, 1.54184 Å, from DFT lattice parameters and positions (GGA-PBE).

Principal peaks in the range 10° ≤ 2θ ≤ 90°, in order of falling intensity:
2theta, d (Å), intensity, hkl
37.61, 2.392, 100, 1 3 1
44.08, 2.054, 58, 1 3 2
38.87, 2.317, 50, 0 0 3
37.79, 2.381, 46, 2 0 1
65.00, 1.435, 39, 1 3 4
44.24, 2.048, 34, 2 0 2
87.38, 1.116, 19, 2 6 3
35.23, 2.547, 15, 1 3 0
69.63, 1.350, 15, 3 3 2
74.50, 1.274, 14, 2 6 0

a = 5.0681 Å, b = 8.8394 Å, c = 6.9500 Å
α = 90.00°, β = 90.00°, γ = 90.00°
Space group C222 (No. 21)
Symmetry-distinct sites (fractional):
Zr (0.2500, 0.2500, 0.1637) (multiplicity 4)
Ge (0.0000, 0.3319, 0.5000) (multiplicity 4)
Ge (0.2444, 0.4203, 0.8240) (multiplicity 8)
Mo (0.0000, 0.0000, 0.5000) (multiplicity 2)

***

Record 4
Theoretical powder X-ray diffraction pattern of GeN for Cu Kα, 1.54184 Å, from DFT lattice parameters and positions (GGA-PBE).

Principal peaks in the range 10° ≤ 2θ ≤ 90°, in order of falling intensity:
2theta, d (Å), intensity, hkl
32.48, 2.757, 100, 0 3 1
35.65, 2.518, 76, 1 0 1
38.21, 2.355, 43, 1 3 0
58.22, 1.585, 40, 1 3 2
69.33, 1.355, 21, 2 3 1
63.50, 1.465, 19, 1 6 1
42.19, 2.142, 15, 0 0 2
50.69, 1.801, 14, 0 6 0
59.37, 1.557, 12, 2 0 0
36.64, 2.453, 10, 1 1 1

a = 3.1132 Å, b = 10.8064 Å, c = 4.2835 Å
α = 90.00°, β = 90.00°, γ = 90.00°
Space group Pmmn (No. 59, origin choice 2)
Symmetry-distinct sites (fractional):
Ge (0.2500, 0.0641, 0.2171) (multiplicity 4)
Ge (0.2500, 0.7500, 0.2829) (multiplicity 2)
N (0.2500, 0.2500, 0.9716) (multiplicity 2)
N (0.2500, 0.6060, 0.5226) (multiplicity 4)

***

Record 5
Theoretical powder X-ray diffraction pattern of NaPa2GeN5 for Cu Kα, 1.54184 Å, from DFT lattice parameters and positions (GGA-PBE).

Principal peaks in the range 10° ≤ 2θ ≤ 90°, in order of falling intensity:
2theta, d (Å), intensity, hkl
15.51, 5.714, 100, 0 0 1
31.16, 2.870, 91, 2 0 1
34.03, 2.634, 86, 2 1 1
43.99, 2.059, 53, 2 1 2
30.10, 2.969, 43, 2 1 0
31.31, 2.857, 37, 0 0 2
59.67, 1.550, 34, 4 1 1
66.68, 1.403, 25, 4 1 2
46.07, 1.970, 22, 3 1 1
57.49, 1.603, 19, 2 1 3

a = 6.6380 Å, b = 6.6380 Å, c = 5.7142 Å
α = 90.00°, β = 90.00°, γ = 90.00°
Space group P4/mbm (No. 127)
Symmetry-distinct sites (fractional):
Na (0.0000, 0.0000, 0.0000) (multiplicity 2)
Pa (0.1848, 0.3152, 0.5000) (multiplicity 4)
Ge (0.0000, 0.5000, 0.0000) (multiplicity 2)
N (0.0000, 0.0000, 0.5000) (multiplicity 2)
N (0.1382, 0.6382, 0.2458) (multiplicity 8)

***

Record 6
Theoretical powder X-ray diffraction pattern of NbGeN for Cu Kα, 1.54184 Å, from DFT lattice parameters and positions (GGA-PBE).

Principal peaks in the range 10° ≤ 2θ ≤ 90°, in order of falling intensity:
2theta, d (Å), intensity, hkl
39.71, 2.270, 100, 3 1 -1
44.05, 2.056, 92, 3 1 1
34.20, 2.622, 72, 0 0 2
29.24, 3.054, 49, 4 0 0
31.69, 2.824, 49, 1 1 0
19.65, 4.518, 44, 2 0 -1
30.34, 2.946, 35, 4 0 -1
24.76, 3.596, 34, 2 0 1
37.28, 2.412, 33, 4 0 1
48.33, 1.883, 27, 3 1 -2

a = 12.5442 Å, b = 2.9024 Å, c = 5.3845 Å
α = 90.00°, β = 103.12°, γ = 90.00°
Space group C2/m (No. 12)
Symmetry-distinct sites (fractional):
Nb (0.0591, 0.0000, 0.2846) (multiplicity 4)
Ge (0.2472, 0.0000, 0.7273) (multiplicity 4)
N (0.0000, 0.5000, 0.0000) (multiplicity 2)
N (0.0000, 0.5000, 0.5000) (multiplicity 2)

***

Record 7
Theoretical powder X-ray diffraction pattern of NbGeN for Cu Kα, 1.54184 Å, from DFT lattice parameters and positions (GGA-PBE).

Principal peaks in the range 10° ≤ 2θ ≤ 90°, in order of falling intensity:
2theta, d (Å), intensity, hkl
30.16, 2.963, 100, 0 1 0
31.81, 2.813, 61, 0 0 2
44.38, 2.041, 52, 0 1 2
43.18, 2.095, 50, 1 1 0
54.54, 1.683, 24, 1 1 -2
54.70, 1.678, 24, 1 1 2
44.50, 2.036, 17, 1 0 2
71.15, 1.325, 17, 1 2 0
62.71, 1.482, 15, 0 2 0
15.75, 5.626, 14, 0 0 1

a = 2.9631 Å, b = 2.9634 Å, c = 5.6256 Å
α = 90.00°, β = 90.22°, γ = 90.00°
Space group Pm (No. 6)
Symmetry-distinct sites (fractional):
Nb (0.0000, 0.0000, 0.0000) (multiplicity 1)
Ge (0.9623, 0.0000, 0.4994) (multiplicity 1)
N (0.4972, 0.5000, 0.9993) (multiplicity 1)

***

Record 8
Theoretical powder X-ray diffraction pattern of Pu2NbGeN5 for Cu Kα, 1.54184 Å, from DFT lattice parameters and positions (GGA-PBE).

Principal peaks in the range 10° ≤ 2θ ≤ 90°, in order of falling intensity:
2theta, d (Å), intensity, hkl
31.35, 2.853, 100, 0 4 2
33.71, 2.659, 65, 1 1 2
34.30, 2.614, 54, 1 3 0
17.22, 5.149, 43, 0 0 2
39.12, 2.302, 37, 1 1 3
58.11, 1.587, 32, 1 7 2
29.09, 3.069, 31, 0 2 3
34.85, 2.574, 30, 0 0 4
49.70, 1.834, 26, 1 3 4
28.76, 3.104, 25, 1 1 0

a = 3.1871 Å, b = 13.7109 Å, c = 10.2979 Å
α = 90.00°, β = 90.00°, γ = 90.00°
Space group Cmc2_1 (No. 36)
Symmetry-distinct sites (fractional):
Pu (0.0000, 0.1237, 0.0000) (multiplicity 4)
Pu (0.0000, 0.1350, 0.5632) (multiplicity 4)
Nb (0.0000, 0.2235, 0.2869) (multiplicity 4)
Ge (0.0000, 0.4944, 0.7596) (multiplicity 4)
N (0.0000, 0.0560, 0.3322) (multiplicity 4)
N (0.0000, 0.2874, 0.9309) (multiplicity 4)
N (0.0000, 0.3001, 0.6473) (multiplicity 4)
N (0.0000, 0.3683, 0.2904) (multiplicity 4)
N (0.0000, 0.4993, 0.0765) (multiplicity 4)